Record 1
Starting from a crystal structure in the Materials Project, relaxed with PBE, the powder diffraction line list of KLaHfTiO6 was calculated for Cu Kα (weighted mean of Kα1 and Kα2).
Lines closer than 0.1° are merged.

Peak list (6 most intense, 2θ = 15–90°, low angle first)
2θ 19.07, I = 40
2θ 31.39, I = 100
2θ 36.99, I = 25
2θ 44.98, I = 33
2θ 55.88, I = 39
2θ 65.50, I = 20

Structure:
```
KLaHfTiO6
1.0
0.0000 4.0304 4.0304
4.0304 0.0000 4.0304
4.0304 4.0304 0.0000
K La Hf Ti O
1 1 1 1 6
Direct
0.0000 0.0000 0.0000 K
0.5000 0.5000 0.5000 La
0.7500 0.7500 0.7500 Hf
0.2500 0.2500 0.2500 Ti
0.0061 0.0061 0.4939 O
0.0061 0.4939 0.0061 O
0.0061 0.4939 0.4939 O
0.4939 0.0061 0.0061 O
0.4939 0.0061 0.4939 O
0.4939 0.4939 0.0061 O
```

---

Record 2
Starting from a crystal structure in the Materials Project, relaxed with PBE, the powder diffraction line list of KHfMg14O15 was calculated for Cu Kα (weighted mean of Kα1 and Kα2).
Lines closer than 0.1° are merged.

Peak list (6 most intense, 2θ = 15–90°, low angle first)
2θ 30.58, I = 72
2θ 35.53, I = 96
2θ 40.80, I = 100
2θ 41.28, I = 94
2θ 41.67, I = 91
2θ 59.44, I = 57

Structure:
```
KHfMg14O15
1.0
4.4231 0.0000 0.0000
0.0000 8.7488 0.0000
0.0000 0.0000 8.6689
K Hf Mg O
1 1 14 15
Direct
0.0000 0.0000 0.0000 K
0.0000 0.5000 0.9916 Hf
0.0000 0.0000 0.4998 Mg
0.0000 0.2406 0.7411 Mg
0.0000 0.2450 0.2587 Mg
0.0000 0.5000 0.4987 Mg
0.0000 0.7550 0.2587 Mg
0.0000 0.7594 0.7411 Mg
0.5000 0.0000 0.2538 Mg
0.5000 0.0000 0.7466 Mg
0.5000 0.2387 0.0001 Mg
0.5000 0.2483 0.5012 Mg
0.5000 0.5000 0.2561 Mg
0.5000 0.5000 0.7471 Mg
0.5000 0.7517 0.5012 Mg
0.5000 0.7613 0.0001 Mg
0.0000 0.0000 0.2756 O
0.0000 0.0000 0.7243 O
0.0000 0.2573 0.5004 O
0.0000 0.2706 0.0028 O
0.0000 0.5000 0.2552 O
0.0000 0.7294 0.0028 O
0.0000 0.7427 0.5004 O
0.5000 0.0000 0.0026 O
0.5000 0.0000 0.4993 O
0.5000 0.2432 0.7505 O
0.5000 0.2503 0.2502 O
0.5000 0.5000 0.0060 O
0.5000 0.5000 0.4999 O
0.5000 0.7497 0.2502 O
0.5000 0.7568 0.7505 O
```